No. 1
Theoretical powder diffraction line list
Compound: TaGaCu
Radiation: Cu Kα X-rays
Structure: a DFT-relaxed cell (GGA-PBE, Alexandria)
Peak positions follow from Bragg's law for the DFT cell and can differ from measured ones.

Largest 10 diffraction maxima, by angle, 10 to 90 degrees two-theta:
(hkl), Position (°2θ), Rel. int.
1 0 3, 31.5, 70
1 1 0, 34.7, 61
1 1 2, 37.2, 100
0 0 6, 40.1, 33
1 0 5, 41.6, 83
1 1 4, 44.1, 61
2 0 0, 49.9, 68
2 1 3, 60.2, 23
2 0 6, 65.8, 30
2 1 5, 66.9, 40

Crystal structure
Cell lengths 3.658, 3.658, 13.485 Å; angles 90.00, 90.00, 90.00 degrees
Space group I4/mmm (No. 139)
Unique sites:
Ta 0.000 0.000 0.179 (multiplicity 4)
Ga 0.000 0.000 0.375 (multiplicity 4)
Cu 0.000 0.500 0.000 (multiplicity 4)


No. 2
Theoretical powder diffraction line list
Compound: TmGa8Ni2
Radiation: Cu Kα X-rays
Structure: a DFT-relaxed cell (GGA-PBE, Alexandria)
Peak positions follow from Bragg's law for the DFT cell and can differ from measured ones.

Largest 10 diffraction maxima, by angle, 10 to 90 degrees two-theta:
(hkl), Position (°2θ), Rel. int.
0 0 1, 12.4, 14
1 0 0, 15.6, 16
1 0 1, 20.0, 31
1 1 1, 25.4, 50
1 0 2, 29.5, 14
2 0 2, 40.6, 100
2 2 0, 45.1, 46
2 0 3, 50.0, 14
4 0 0, 65.7, 14
4 2 2, 80.2, 25

Crystal structure
Cell lengths 5.681, 5.681, 7.142 Å; angles 90.00, 90.00, 90.00 degrees
Space group P4/mmm (No. 123)
Unique sites:
Tm 0.000 0.000 0.000 (multiplicity 1)
Ga 0.259 0.259 0.296 (multiplicity 8)
Ni 0.000 0.500 0.500 (multiplicity 2)


No. 3
Theoretical powder diffraction line list
Compound: ZrNi2Cl2
Radiation: Cu Kα X-rays
Structure: a DFT-relaxed cell (GGA-PBE, Alexandria)
Peak positions follow from Bragg's law for the DFT cell and can differ from measured ones.

Largest 10 diffraction maxima, by angle, 10 to 90 degrees two-theta:
(hkl), Position (°2θ), Rel. int.
0 0 4, 17.4, 100
1 0 3, 31.0, 17
1 0 5, 35.7, 34
1 1 2, 41.0, 76
1 0 7, 42.0, 26
1 1 6, 48.4, 17
2 0 0, 57.9, 16
2 0 4, 60.9, 13
1 1 10, 61.2, 16
1 1 14, 78.0, 12

Crystal structure
Cell lengths 3.187, 3.187, 20.444 Å; angles 90.00, 90.00, 90.00 degrees
Space group I4/mmm (No. 139)
Unique sites:
Zr 0.000 0.000 0.000 (multiplicity 2)
Ni 0.000 0.500 0.250 (multiplicity 4)
Cl 0.000 0.000 0.424 (multiplicity 4)


No. 4
Theoretical powder diffraction line list
Compound: Pm4HRu
Radiation: Cu Kα X-rays
Structure: a DFT-relaxed cell (GGA-PBE, Alexandria)
Peak positions follow from Bragg's law for the DFT cell and can differ from measured ones.

Largest 10 diffraction maxima, by angle, 10 to 90 degrees two-theta:
(hkl), Position (°2θ), Rel. int.
1 2 -1, 29.7, 76
1 2 1, 30.1, 100
1 0 -2, 30.9, 37
1 1 -2, 32.5, 37
1 1 2, 33.3, 57
2 0 0, 35.3, 55
0 3 2, 40.5, 27
0 4 0, 41.3, 27
0 2 3, 44.4, 23
2 4 0, 55.4, 29

Crystal structure
Cell lengths 5.089, 8.746, 6.923 Å; angles 90.00, 91.57, 90.00 degrees
Space group P2_1/m (No. 11)
Unique sites:
Pm 0.223 0.250 0.259 (multiplicity 2)
Pm 0.254 0.750 0.404 (multiplicity 2)
Pm 0.264 0.040 0.817 (multiplicity 4)
H 0.239 0.250 0.597 (multiplicity 2)
Ru 0.325 0.750 0.993 (multiplicity 2)